Diffraction record for Li2VP2O7. The powder diffraction line list is simulated, not measured: it uses a structure optimized by DFT (PBE+U) and Cu Kα (weighted mean of Kα1 and Kα2).
Peak positions follow from Bragg's law for the DFT cell and can differ from measured ones.

The 8 most intense peaks (15 to 90 degrees two-theta), in order of rising 2θ:
d (Å)  I (rel.)
4.308  15
4.070  100
3.979  46
3.276  16
2.969  41
2.886  12
2.557  38
2.353  22

Structure:
Lattice parameters (Å, degrees): 5.114 5.116 13.335 80.80 80.81 60.12
Atoms (fractional coordinates):
Li1 0.000 0.000 0.000
Li2 0.200 0.365 0.192
Li3 0.415 0.585 0.500
Li4 0.783 0.783 0.691
V1 0.099 0.184 0.596
V2 0.600 0.683 0.096
P1 0.333 0.360 0.964
P2 0.423 0.450 0.728
P3 0.775 0.918 0.464
P4 0.867 0.005 0.227
O1 0.010 0.622 0.517
O2 0.036 0.596 0.017
O3 0.164 0.769 0.176
O4 0.187 0.747 0.675
O5 0.299 0.483 0.846
O6 0.361 0.043 0.979
O7 0.421 0.176 0.696
O8 0.458 0.947 0.479
O9 0.592 0.003 0.196
O10 0.608 0.361 0.996
O11 0.739 0.421 0.713
O12 0.777 0.193 0.496
O13 0.838 0.322 0.212
O14 0.899 0.883 0.346